Simulated X-ray diffraction stick pattern of La10Ge3As3 for Cu Kα (weighted mean of Kα1 and Kα2), from a structure optimized by DFT (GGA-PBE).
No peak broadening, texture or thermal motion is included.

Crystal structure
Lattice parameters (Å, degrees): 9.0923 9.0923 6.6148 90.00 90.00 120.00
Space group P-62m (No. 189)
Symmetry-distinct sites (fractional):
La: 0.0000 0.2565 0.0000 (multiplicity 3)
La: 0.0000 0.7477 0.5000 (multiplicity 3)
La: 0.3333 0.6667 0.2582 (multiplicity 4)
Ge: 0.0000 0.6158 0.0000 (multiplicity 3)
As: 0.0000 0.3809 0.5000 (multiplicity 3)

Principal peaks in the range 10 to 80 degrees two-theta, by angle:
(hkl), 2θ/deg, I (rel.)
1 0 2, 29.29, 27.3
2 1 0, 30.03, 35.5
2 1 1, 33.00, 94.3
1 1 2, 33.51, 100.0
3 0 0, 34.16, 62.9
2 2 2, 48.60, 28.4
2 1 3, 51.59, 26.5
3 2 1, 52.51, 18.8
4 0 2, 54.22, 20.6
3 0 4, 66.90, 26.3